The following is a simulated powder diffraction line list of Sb4Cl2O5. It was derived from a structure optimized by DFT (GGA-PBE), using Cu Kα (λ = 1.5418 Å).

Crystal structure
Unit cell a=6.3803 b=5.2246 c=13.8200 alpha=90.00 beta=95.90 gamma=90.00
Space group P2_1/c (No. 14)
Symmetry-distinct sites (fractional):
Sb  0.1839  0.2222  0.0482 [4 per cell]
Sb  0.2022  0.5996  0.2964 [4 per cell]
Cl  0.4900  0.2141  0.3830 [4 per cell]
O  0.0000  0.0000  0.5000 [2 per cell]
O  0.0702  0.0082  0.9188 [4 per cell]
O  0.0743  0.1787  0.7101 [4 per cell]

Peak list (10 most intense, 2θ from 10° to 90°, by intensity)
2θ = 26.34°, intensity 100, hkl 1 1 2
2θ = 28.23°, intensity 64, hkl 1 0 -4
2θ = 34.47°, intensity 42, hkl 2 1 -2
2θ = 23.39°, intensity 38, hkl 1 1 1
2θ = 13.95°, intensity 35, hkl 1 0 0
2θ = 43.11°, intensity 29, hkl 0 1 6
2θ = 21.36°, intensity 20, hkl 0 1 2
2θ = 33.08°, intensity 16, hkl 2 1 -1
2θ = 54.65°, intensity 16, hkl 1 3 0
2θ = 40.63°, intensity 15, hkl 2 0 4

=====

The following is a simulated powder diffraction line list of YSb3Se2ClO8. It was derived from a structure optimized by DFT (GGA-PBE), using Cu Kα (λ = 1.5418 Å).

Crystal structure
Unit cell a=7.5421 b=9.5669 c=7.7186 alpha=90.00 beta=90.00 gamma=90.00
Space group Pmmn (No. 59, origin choice 2)
Symmetry-distinct sites (fractional):
Y  0.2500  0.2500  0.1697 [2 per cell]
Sb  0.0000  0.0000  0.5000 [4 per cell]
Sb  0.2500  0.2500  0.6295 [2 per cell]
Se  0.2500  0.5749  0.9123 [4 per cell]
Cl  0.2500  0.7500  0.4199 [2 per cell]
O  0.0653  0.5951  0.7799 [8 per cell]
O  0.2500  0.1034  0.3994 [4 per cell]
O  0.2500  0.1049  0.9411 [4 per cell]

Peak list (10 most intense, 2θ from 10° to 90°, by intensity)
2θ = 32.38°, intensity 100, hkl 2 2 1
2θ = 30.18°, intensity 62, hkl 2 2 0
2θ = 24.88°, intensity 55, hkl 0 1 2
2θ = 26.30°, intensity 51, hkl 2 0 1
2θ = 32.08°, intensity 49, hkl 1 2 2
2θ = 11.46°, intensity 49, hkl 0 0 1
2θ = 29.74°, intensity 38, hkl 0 2 2
2θ = 14.96°, intensity 36, hkl 1 1 0
2θ = 51.04°, intensity 35, hkl 0 2 4
2θ = 34.55°, intensity 34, hkl 2 1 2